[1]
Computed X-ray powder pattern
Compound: SrCoAs4
Radiation: a wavelength of 1.5418 Å
Structure: a crystal structure in Alexandria, relaxed with GGA-PBE
Neutral-atom scattering factors, no anomalous dispersion.

Atomic structure:
Cell lengths 8.012, 8.012, 8.012 Å; angles 90.00, 90.00, 90.00 degrees
Space group F-43m (No. 216)
One atom of each set of equivalent atoms:
Sr1 0.000 0.000 0.000
Co1 0.250 0.250 0.250
As1 0.122 0.122 0.622

Top 6 peaks for 10 to 90 degrees two-theta, most intense first:
(3 1 1), 37.22°, I 100
(2 2 2), 38.94°, I 41
(5 1 1), 60.00°, I 33
(4 4 0), 65.95°, I 28
(2 2 0), 31.58°, I 26
(6 2 2), 79.32°, I 15

***

[2]
Computed X-ray powder pattern
Compound: NbI5Br
Radiation: a wavelength of 1.5418 Å
Structure: a crystal structure in Alexandria, relaxed with GGA-PBE
Neutral-atom scattering factors, no anomalous dispersion.

Atomic structure:
Cell lengths 11.065, 11.850, 6.390 Å; angles 90.00, 121.08, 90.00 degrees
Space group Cm (No. 8)
One atom of each set of equivalent atoms:
Nb1 0.000 0.000 0.000
I1 0.215 0.500 0.548
I2 0.239 0.500 0.069
I3 0.265 0.000 0.392
I4 0.471 0.277 0.042
Br1 0.078 0.000 0.707

Top 6 peaks for 10 to 90 degrees two-theta, most intense first:
(2 2 0), 24.05°, I 100
(1 1 0), 11.96°, I 75
(0 4 0), 30.17°, I 67
(0 2 0), 14.95°, I 67
(3 1 -2), 31.17°, I 56
(4 0 0), 37.99°, I 48

***

[3]
Computed X-ray powder pattern
Compound: LiDy4Tl2
Radiation: a wavelength of 1.5418 Å
Structure: a crystal structure in Alexandria, relaxed with GGA-PBE
Neutral-atom scattering factors, no anomalous dispersion.

Atomic structure:
Cell lengths 7.012, 6.659, 8.882 Å; angles 90.00, 107.95, 90.00 degrees
Space group P2_1/m (No. 11)
One atom of each set of equivalent atoms:
Li1 0.049 0.250 0.268
Dy1 0.181 0.750 0.129
Dy2 0.320 0.006 0.780
Dy3 0.459 0.250 0.475
Tl1 0.067 0.750 0.456
Tl2 0.281 0.250 0.079

Top 6 peaks for 10 to 90 degrees two-theta, most intense first:
(1 0 -3), 30.41°, I 100
(2 0 1), 31.74°, I 97
(0 2 2), 34.30°, I 83
(1 2 1), 33.27°, I 71
(2 2 -1), 37.34°, I 67
(2 1 0), 29.97°, I 48

***

[4]
Computed X-ray powder pattern
Compound: TbYAs
Radiation: a wavelength of 1.5418 Å
Structure: a crystal structure in Alexandria, relaxed with GGA-PBE
Neutral-atom scattering factors, no anomalous dispersion.

Atomic structure:
Cell lengths 12.3402, 12.3402, 11.4651 Å; angles 90.00, 90.00, 120.00 degrees
Space group R-3 (No. 148, hexagonal axes)
One atom of each set of equivalent atoms:
Tb1 0.0502 0.1922 0.3802
Y1 0.0280 0.1975 0.8855
As1 0.0469 0.2798 0.1445

Top 6 peaks for 10 to 90 degrees two-theta, most intense first:
(2 1 4), 38.56°, I 100
(3 1 2), 34.05°, I 83
(1 0 4), 32.34°, I 60
(3 -2 2), 27.00°, I 59
(5 -3 2), 40.00°, I 38
(2 1 1), 23.35°, I 35

***

[5]
Computed X-ray powder pattern
Compound: HgBi5Pb8
Radiation: a wavelength of 1.5418 Å
Structure: a crystal structure in Alexandria, relaxed with GGA-PBE
Neutral-atom scattering factors, no anomalous dispersion.

Atomic structure:
Cell lengths 9.743, 9.743, 9.824 Å; angles 90.00, 90.00, 90.00 degrees
Space group I-4 (No. 82)
One atom of each set of equivalent atoms:
Hg1 0.000 0.000 0.000
Bi1 0.000 0.500 0.750
Bi2 0.118 0.265 0.364
Pb1 0.070 0.171 0.682
Pb2 0.092 0.325 0.025

Top 6 peaks for 10 to 90 degrees two-theta, most intense first:
(1 3 0), 28.97°, I 100
(1 3 2), 34.39°, I 80
(1 0 3), 28.76°, I 50
(2 1 3), 34.25°, I 47
(4 2 0), 41.41°, I 17
(4 2 2), 45.55°, I 17

***

[6]
Computed X-ray powder pattern
Compound: Rb5TaTl2As4
Radiation: a wavelength of 1.5418 Å
Structure: a crystal structure in Alexandria, relaxed with GGA-PBE
Neutral-atom scattering factors, no anomalous dispersion.

Atomic structure:
Cell lengths 19.476, 11.207, 7.990 Å; angles 90.00, 90.00, 90.00 degrees
Space group Pnma (No. 62)
One atom of each set of equivalent atoms:
Rb1 0.020 0.250 0.107
Rb2 0.078 0.026 0.696
Rb3 0.248 0.555 0.475
Ta1 0.164 0.750 0.077
Tl1 0.056 0.750 0.416
Tl2 0.186 0.250 0.319
As1 0.103 0.569 0.191
As2 0.164 0.750 0.765
As3 0.211 0.250 0.662

Top 6 peaks for 10 to 90 degrees two-theta, most intense first:
(0 4 0), 31.90°, I 100
(5 1 1), 26.69°, I 91
(2 2 2), 28.93°, I 60
(2 0 1), 14.35°, I 54
(3 1 2), 27.40°, I 51
(3 3 1), 29.77°, I 50

***

[7]
Computed X-ray powder pattern
Compound: PrNdAu
Radiation: a wavelength of 1.5418 Å
Structure: a crystal structure in Alexandria, relaxed with GGA-PBE
Neutral-atom scattering factors, no anomalous dispersion.

Atomic structure:
Cell lengths 9.984, 14.601, 7.409 Å; angles 90.00, 90.00, 90.00 degrees
Space group Ima2 (No. 46)
One atom of each set of equivalent atoms:
Pr1 0.250 0.001 0.000
Pr2 0.250 0.198 0.402
Pr3 0.250 0.697 0.900
Nd1 0.000 0.000 0.335
Nd2 0.001 0.629 0.256
Au1 0.001 0.176 0.140
Au2 0.250 0.001 0.583

Top 6 peaks for 10 to 90 degrees two-theta, most intense first:
(2 2 2), 32.50°, I 100
(2 3 1), 28.30°, I 79
(2 0 2), 30.04°, I 73
(4 0 0), 35.98°, I 69
(0 3 3), 40.98°, I 46
(2 4 0), 30.33°, I 45